1.
For NaPmPaO4, DFT lattice parameters and positions (PBE) gives the calculated X-ray diffraction stick pattern in this record (Cu Kα (weighted mean of Kα1 and Kα2)).
Kinematic intensities with the Lorentz-polarization factor, no thermal factor.

Cell and atoms:
```
data_NaPmPaO4
_cell_length_a 7.120
_cell_length_b 7.120
_cell_length_c 7.120
_cell_angle_alpha 120.79
_cell_angle_beta 119.86
_cell_angle_gamma 89.44
_symmetry_space_group_name_H-M 'P 1'
_symmetry_Int_Tables_number 1
_symmetry_space_group_name_Hall 'P 1'
loop_
_atom_site_label
_atom_site_fract_x
_atom_site_fract_y
_atom_site_fract_z
Na1 0.388 0.138 0.250
Na2 0.612 0.862 0.750
Pm1 0.000 0.000 0.500
Pm2 0.000 0.500 0.000
Pa1 0.000 0.500 0.500
Pa2 0.500 0.500 0.000
O1 0.192 0.718 0.474
O2 0.236 0.280 0.544
O3 0.236 0.692 0.956
O4 0.255 0.282 0.974
O5 0.745 0.718 0.026
O6 0.764 0.308 0.044
O7 0.764 0.720 0.456
O8 0.808 0.282 0.526
```

Peak list (10 most intense, 2θ = 15–90°, in order of rising 2θ)
- 15.19°, I 389
- 15.34°, I 1000
- 29.34°, I 341
- 29.43°, I 481
- 29.66°, I 221
- 30.66°, I 370
- 30.96°, I 351
- 35.85°, I 420
- 47.23°, I 222
- 51.33°, I 351


2.
For Ac8PRh3Au3, DFT lattice parameters and positions (PBE) gives the calculated X-ray diffraction stick pattern in this record (Cu Kα (weighted mean of Kα1 and Kα2)).
Kinematic intensities with the Lorentz-polarization factor, no thermal factor.

Cell and atoms:
```
data_Ac8PRh3Au3
_cell_length_a 8.929
_cell_length_b 8.929
_cell_length_c 8.929
_cell_angle_alpha 59.17
_cell_angle_beta 59.17
_cell_angle_gamma 59.17
_symmetry_space_group_name_H-M 'P 1'
_symmetry_Int_Tables_number 1
_symmetry_space_group_name_Hall 'P 1'
loop_
_atom_site_label
_atom_site_fract_x
_atom_site_fract_y
_atom_site_fract_z
Ac1 0.236 0.745 0.745
Ac2 0.243 0.243 0.243
Ac3 0.255 0.255 0.764
Ac4 0.255 0.764 0.255
Ac5 0.745 0.236 0.745
Ac6 0.745 0.745 0.236
Ac7 0.757 0.757 0.757
Ac8 0.764 0.255 0.255
P1 0.500 0.500 0.500
Rh1 0.000 0.000 0.500
Rh2 0.000 0.500 0.000
Rh3 0.500 0.000 0.000
Au1 0.000 0.500 0.500
Au2 0.500 0.000 0.500
Au3 0.500 0.500 0.000
```

Peak list (10 most intense, 2θ = 15–90°, in order of rising 2θ)
- 24.68°, I 127
- 28.46°, I 1000
- 40.41°, I 368
- 40.94°, I 390
- 50.61°, I 208
- 58.89°, I 124
- 66.30°, I 154
- 67.05°, I 180
- 74.21°, I 126
- 74.57°, I 68


3.
For CeCdAg, DFT lattice parameters and positions (PBE) gives the calculated X-ray diffraction stick pattern in this record (Cu Kα (weighted mean of Kα1 and Kα2)).
Kinematic intensities with the Lorentz-polarization factor, no thermal factor.

Cell and atoms:
```
data_CeCdAg
_cell_length_a 4.748
_cell_length_b 6.373
_cell_length_c 6.373
_cell_angle_alpha 46.22
_cell_angle_beta 90.00
_cell_angle_gamma 90.00
_symmetry_space_group_name_H-M 'P 1'
_symmetry_Int_Tables_number 1
_symmetry_space_group_name_Hall 'P 1'
loop_
_atom_site_label
_atom_site_fract_x
_atom_site_fract_y
_atom_site_fract_z
Ce1 0.250 0.183 0.817
Ce2 0.750 0.817 0.183
Cd1 0.250 0.883 0.501
Cd2 0.750 0.501 0.883
Ag1 0.250 0.506 0.141
Ag2 0.750 0.141 0.506
```

Peak list (10 most intense, 2θ = 15–90°, in order of rising 2θ)
- 29.00°, I 150
- 34.72°, I 1000
- 35.91°, I 137
- 37.90°, I 250
- 40.78°, I 214
- 46.48°, I 102
- 60.36°, I 101
- 63.52°, I 87
- 66.42°, I 144
- 73.52°, I 111